[1]
YCo12Si6: calculated X-ray diffraction stick pattern (λ = 1.5418 Å (Cu Kα)), based on a DFT-relaxed cell (GGA-PBE, Alexandria).
No peak broadening, texture or thermal motion is included.

Atomic structure:
```
data_YCo12Si6
_chemical_formula_sum 'Y1 Co12 Si6'
_space_group_name_H-M_alt 'P 1'
_space_group_IT_number 1
_cell_length_a 6.4954
_cell_length_b 6.4954
_cell_length_c 6.4954
_cell_angle_alpha 105.23
_cell_angle_beta 105.23
_cell_angle_gamma 105.23
loop_
_space_group_symop_operation_xyz
'x,y,z'
loop_
_atom_site_label
_atom_site_type_symbol
_atom_site_fract_x
_atom_site_fract_y
_atom_site_fract_z
Y1 Y 0.0000 0.0000 0.0000
Co1 Co 0.1286 0.5000 0.8714
Co2 Co 0.1286 0.8714 0.5000
Co3 Co 0.1788 0.4381 0.4381
Co4 Co 0.4381 0.1788 0.4381
Co5 Co 0.4381 0.4381 0.1788
Co6 Co 0.5000 0.1286 0.8714
Co7 Co 0.5000 0.8714 0.1286
Co8 Co 0.5619 0.5619 0.8212
Co9 Co 0.5619 0.8212 0.5619
Co10 Co 0.8212 0.5619 0.5619
Co11 Co 0.8714 0.1286 0.5000
Co12 Co 0.8714 0.5000 0.1286
Si1 Si 0.2439 0.2439 0.6934
Si2 Si 0.2439 0.6934 0.2439
Si3 Si 0.3066 0.7561 0.7561
Si4 Si 0.6934 0.2439 0.2439
Si5 Si 0.7561 0.3066 0.7561
Si6 Si 0.7561 0.7561 0.3066
```

Top 6 peaks for 2θ from 10° to 80°, most intense first:
- 38.1°, d 2.361, I = 100
- 39.0°, d 2.310, I = 51
- 46.5°, d 1.952, I = 44
- 56.7°, d 1.623, I = 32
- 71.8°, d 1.314, I = 25
- 43.3°, d 2.088, I = 23

---

[2]
LiGdHoCo: calculated X-ray diffraction stick pattern (λ = 1.5418 Å (Cu Kα)), based on a DFT-relaxed cell (GGA-PBE, Alexandria).
No peak broadening, texture or thermal motion is included.

Atomic structure:
```
data_LiGdHoCo
_chemical_formula_sum 'Li1 Gd1 Ho1 Co1'
_space_group_name_H-M_alt 'P 1'
_space_group_IT_number 1
_cell_length_a 4.8687
_cell_length_b 4.8687
_cell_length_c 4.8687
_cell_angle_alpha 60.00
_cell_angle_beta 60.00
_cell_angle_gamma 60.00
loop_
_space_group_symop_operation_xyz
'x,y,z'
loop_
_atom_site_label
_atom_site_type_symbol
_atom_site_fract_x
_atom_site_fract_y
_atom_site_fract_z
Li1 Li 0.0000 0.0000 0.0000
Gd1 Gd 0.7500 0.7500 0.7500
Ho1 Ho 0.2500 0.2500 0.2500
Co1 Co 0.5000 0.5000 0.5000
```

Top 6 peaks for 2θ from 10° to 80°, most intense first:
- 36.9°, d 2.434, I = 100
- 25.9°, d 3.443, I = 53
- 66.5°, d 1.405, I = 35
- 60.1°, d 1.540, I = 21
- 53.2°, d 1.721, I = 17
- 45.6°, d 1.988, I = 16

---

[3]
Co2Ni3S6: calculated X-ray diffraction stick pattern (λ = 1.5418 Å (Cu Kα)), based on a DFT-relaxed cell (GGA-PBE, Alexandria).
No peak broadening, texture or thermal motion is included.

Atomic structure:
```
data_Co2Ni3S6
_chemical_formula_sum 'Co2 Ni3 S6'
_space_group_name_H-M_alt 'P 1'
_space_group_IT_number 1
_cell_length_a 3.6087
_cell_length_b 3.6087
_cell_length_c 15.2052
_cell_angle_alpha 90.00
_cell_angle_beta 90.00
_cell_angle_gamma 120.00
loop_
_space_group_symop_operation_xyz
'x,y,z'
loop_
_atom_site_label
_atom_site_type_symbol
_atom_site_fract_x
_atom_site_fract_y
_atom_site_fract_z
Co1 Co 0.0000 0.0000 0.0000
Co2 Co 0.3333 0.6667 0.4044
Ni1 Ni 0.3333 0.6667 0.7866
Ni2 Ni 0.6667 0.3333 0.2131
Ni3 Ni 0.6667 0.3333 0.5950
S1 S 0.3333 0.6667 0.2608
S2 S 0.3333 0.6667 0.5631
S3 S 0.3333 0.6667 0.9309
S4 S 0.6667 0.3333 0.0686
S5 S 0.6667 0.3333 0.4349
S6 S 0.6667 0.3333 0.7417
```

Top 6 peaks for 2θ from 10° to 80°, most intense first:
- 30.9°, d 2.891, I = 100
- 50.6°, d 1.804, I = 91
- 28.6°, d 3.125, I = 52
- 46.1°, d 1.968, I = 47
- 29.4°, d 3.041, I = 44
- 29.2°, d 3.061, I = 41

---

[4]
SmEr7In2: calculated X-ray diffraction stick pattern (λ = 1.5418 Å (Cu Kα)), based on a DFT-relaxed cell (GGA-PBE, Alexandria).
No peak broadening, texture or thermal motion is included.

Atomic structure:
```
data_SmEr7In2
_chemical_formula_sum 'Sm1 Er7 In2'
_space_group_name_H-M_alt 'P 1'
_space_group_IT_number 1
_cell_length_a 8.8404
_cell_length_b 8.8404
_cell_length_c 5.4606
_cell_angle_alpha 90.00
_cell_angle_beta 90.00
_cell_angle_gamma 118.27
loop_
_space_group_symop_operation_xyz
'x,y,z'
loop_
_atom_site_label
_atom_site_type_symbol
_atom_site_fract_x
_atom_site_fract_y
_atom_site_fract_z
Sm1 Sm 0.0000 0.0000 0.0000
Er1 Er 0.0583 0.3031 0.5000
Er2 Er 0.2317 0.7683 0.0000
Er3 Er 0.3031 0.0583 0.5000
Er4 Er 0.5000 0.5000 0.5000
Er5 Er 0.6969 0.9417 0.5000
Er6 Er 0.7683 0.2317 0.0000
Er7 Er 0.9417 0.6969 0.5000
In1 In 0.3031 0.6969 0.5000
In2 In 0.6969 0.3031 0.5000
```

Top 6 peaks for 2θ from 10° to 80°, most intense first:
- 35.2°, d 2.546, I = 100
- 30.7°, d 2.910, I = 97
- 34.4°, d 2.606, I = 95
- 32.8°, d 2.730, I = 81
- 28.6°, d 3.116, I = 76
- 45.6°, d 1.991, I = 69